For Zr2TcPd, a crystal structure in the Materials Project, relaxed with PBE gives the simulated powder X-ray diffraction pattern in this record (a wavelength of 1.5418 Å).
Lines closer than 0.1° are merged.

Most intense lines, 2θ from 10° to 90°, in order of rising 2θ:
- (2 2 0), 38.29 deg, intensity 100
- (4 0 0), 55.27 deg, intensity 17
- (4 2 2), 69.23 deg, intensity 33
- (4 4 0), 81.98 deg, intensity 10

a b c (Å): 6.648 6.648 6.648
angles (deg): 90.00 90.00 90.00
Atoms (fractional coordinates):
Zr  0.250  0.250  0.250
Zr  0.250  0.250  0.750
Zr  0.250  0.750  0.250
Zr  0.250  0.750  0.750
Zr  0.750  0.250  0.250
Zr  0.750  0.250  0.750
Zr  0.750  0.750  0.250
Zr  0.750  0.750  0.750
Tc  0.000  0.000  0.000
Tc  0.000  0.500  0.500
Tc  0.500  0.000  0.500
Tc  0.500  0.500  0.000
Pd  0.000  0.000  0.500
Pd  0.000  0.500  0.000
Pd  0.500  0.000  0.000
Pd  0.500  0.500  0.500